[1]
For Tb2ZnGa3Cu4, a crystal structure in Alexandria, relaxed with GGA-PBE gives the calculated powder XRD pattern in this record (Cu Kα (λ = 1.5418 Å)).
Neutral-atom scattering factors, no anomalous dispersion.

Main lines, in order of falling intensity (2θ from 15° to 90°):
- 2θ 35.5, intensity 100.0, (1 1 2)
- 2θ 34.3, intensity 66.0, (1 0 3)
- 2θ 43.9, intensity 54.7, (2 0 0)
- 2θ 56.8, intensity 30.4, (2 1 3)
- 2θ 50.1, intensity 29.3, (1 0 5)
- 2θ 75.2, intensity 24.1, (3 1 2)
- 2θ 68.7, intensity 22.1, (2 1 5)
- 2θ 30.6, intensity 18.9, (1 1 0)

Crystal structure
Cell lengths 4.1273, 4.1273, 10.1504 Å; angles 90.00, 90.00, 90.00 degrees
Space group P-4m2 (No. 115)
Unique sites:
Tb  0.0000  0.5000  0.2465 x2
Zn  0.0000  0.0000  0.5000 x1
Ga  0.0000  0.5000  0.8694 x2
Ga  0.5000  0.5000  0.5000 x1
Cu  0.0000  0.0000  0.0000 x1
Cu  0.0000  0.5000  0.6347 x2
Cu  0.5000  0.5000  0.0000 x1

=====

[2]
For TbZn6GaCu, a crystal structure in Alexandria, relaxed with GGA-PBE gives the calculated powder XRD pattern in this record (Cu Kα (λ = 1.5418 Å)).
Neutral-atom scattering factors, no anomalous dispersion.

Main lines, in order of falling intensity (2θ from 15° to 90°):
- 2θ 40.5, intensity 100.0, (0 4 0)
- 2θ 34.6, intensity 98.8, (1 2 3)
- 2θ 33.1, intensity 69.4, (2 2 0)
- 2θ 38.9, intensity 48.6, (0 2 4)
- 2θ 37.7, intensity 46.2, (2 1 3)
- 2θ 29.3, intensity 44.7, (2 1 1)
- 2θ 47.3, intensity 32.9, (3 0 3)
- 2θ 37.1, intensity 32.4, (1 1 4)

Crystal structure
Cell lengths 6.8132, 8.9119, 10.8315 Å; angles 90.00, 90.00, 90.00 degrees
Space group Imma (No. 74)
Unique sites:
Tb  0.0000  0.2500  0.2005 x4
Zn  0.0000  0.2500  0.5047 x4
Zn  0.0000  0.2500  0.9240 x4
Zn  0.1912  0.0105  0.3748 x16
Ga  0.2500  0.2500  0.7500 x4
Cu  0.0000  0.0000  0.0000 x4

=====

[3]
For Ga6CuTc, a crystal structure in Alexandria, relaxed with GGA-PBE gives the calculated powder XRD pattern in this record (Cu Kα (λ = 1.5418 Å)).
Neutral-atom scattering factors, no anomalous dispersion.

Main lines, in order of falling intensity (2θ from 15° to 90°):
- 2θ 39.5, intensity 100.0, (0 2 2)
- 2θ 28.6, intensity 79.0, (0 2 1)
- 2θ 38.7, intensity 74.6, (3 1 -1)
- 2θ 41.4, intensity 39.7, (2 2 -2)
- 2θ 25.5, intensity 39.7, (2 0 0)
- 2θ 20.4, intensity 31.4, (1 1 -1)
- 2θ 34.1, intensity 30.8, (2 0 1)
- 2θ 49.2, intensity 28.5, (0 4 0)

Crystal structure
Cell lengths 7.3752, 7.4147, 6.1147 Å; angles 90.00, 108.98, 90.00 degrees
Space group C2/m (No. 12)
Unique sites:
Ga  0.0831  0.2175  0.3153 x8
Ga  0.1652  0.5000  0.9820 x4
Cu  0.0000  0.5000  0.5000 x2
Tc  0.0000  0.0000  0.0000 x2

=====

[4]
For GaCu3Te4, a crystal structure in Alexandria, relaxed with GGA-PBE gives the calculated powder XRD pattern in this record (Cu Kα (λ = 1.5418 Å)).
Neutral-atom scattering factors, no anomalous dispersion.

Main lines, in order of falling intensity (2θ from 15° to 90°):
- 2θ 25.8, intensity 100.0, (1 0 4)
- 2θ 42.9, intensity 46.8, (1 1 0)
- 2θ 42.5, intensity 42.9, (1 0 16)
- 2θ 25.5, intensity 30.6, (0 0 12)
- 2θ 50.5, intensity 27.7, (1 1 12)
- 2θ 50.7, intensity 15.4, (0 2 4)
- 2θ 50.2, intensity 14.3, (0 1 20)
- 2θ 61.9, intensity 13.6, (0 2 16)

Crystal structure
Cell lengths 4.2199, 4.2199, 41.8881 Å; angles 90.00, 90.00, 120.00 degrees
Space group R3m (No. 160, hexagonal axes)
Unique sites:
Ga  0.0000  0.0000  0.0000 x3
Cu  0.0000  0.0000  0.2409 x3
Cu  0.0000  0.0000  0.4944 x3
Cu  0.0000  0.0000  0.7465 x3
Te  0.0000  0.0000  0.0625 x3
Te  0.0000  0.0000  0.3038 x3
Te  0.0000  0.0000  0.5556 x3
Te  0.0000  0.0000  0.8076 x3

=====

What did the second record say?
For TbZn6GaCu, a crystal structure in Alexandria, relaxed with GGA-PBE gives the calculated powder XRD pattern in this record (Cu Kα (λ = 1.5418 Å)).
Neutral-atom scattering factors, no anomalous dispersion.

Main lines, in order of falling intensity (2θ from 15° to 90°):
- 2θ 40.5, intensity 100.0, (0 4 0)
- 2θ 34.6, intensity 98.8, (1 2 3)
- 2θ 33.1, intensity 69.4, (2 2 0)
- 2θ 38.9, intensity 48.6, (0 2 4)
- 2θ 37.7, intensity 46.2, (2 1 3)
- 2θ 29.3, intensity 44.7, (2 1 1)
- 2θ 47.3, intensity 32.9, (3 0 3)
- 2θ 37.1, intensity 32.4, (1 1 4)

Crystal structure
Cell lengths 6.8132, 8.9119, 10.8315 Å; angles 90.00, 90.00, 90.00 degrees
Space group Imma (No. 74)
Unique sites:
Tb  0.0000  0.2500  0.2005 x4
Zn  0.0000  0.2500  0.5047 x4
Zn  0.0000  0.2500  0.9240 x4
Zn  0.1912  0.0105  0.3748 x16
Ga  0.2500  0.2500  0.7500 x4
Cu  0.0000  0.0000  0.0000 x4